No. 1
Theoretical PXRD pattern of NpPHPt for Cu Kα, from a cell relaxed with PBE.
Neutral-atom scattering factors, no anomalous dispersion.

Crystal structure
Cell: 4.1658 4.1658 3.9639 Å, 90.00 90.00 120.00°
Sites, in units of the cell vectors:
Np1 0.0000 0.0000 0.0000
P1 0.3333 0.6667 0.4524
H1 0.6667 0.3333 0.9892
Pt1 0.6667 0.3333 0.5268

Peak list (9 most intense, 2θ = 5–70°, low angle first)
- 24.68 deg, d = 3.608 Å, I = 27
- 33.59 deg, d = 2.668 Å, I = 100
- 43.45 deg, d = 2.083 Å, I = 38
- 45.78 deg, d = 1.982 Å, I = 10
- 50.60 deg, d = 1.804 Å, I = 4
- 52.69 deg, d = 1.737 Å, I = 9
- 56.01 deg, d = 1.642 Å, I = 24
- 64.95 deg, d = 1.436 Å, I = 22
- 68.86 deg, d = 1.364 Å, I = 3


No. 2
Theoretical PXRD pattern of Np2PaH8 for Cu Kα, from a cell relaxed with PBE.
Neutral-atom scattering factors, no anomalous dispersion.

Crystal structure
Cell: 6.2389 6.2389 6.2389 Å, 146.85 126.31 64.57°
Sites, in units of the cell vectors:
Np1 0.1717 0.1717 0.0000
Np2 0.8283 0.8283 0.0000
Pa1 0.5000 0.5000 0.0000
H1 0.0791 0.3392 0.7399
H2 0.2370 0.0000 0.2370
H3 0.3397 0.8397 0.5000
H4 0.4007 0.6608 0.7399
H5 0.5993 0.3392 0.2601
H6 0.6603 0.1603 0.5000
H7 0.7630 0.0000 0.7630
H8 0.9209 0.6608 0.2601

Peak list (12 most intense, 2θ = 5–70°, low angle first)
- 29.69 deg, d = 3.009 Å, I = 100
- 29.95 deg, d = 2.983 Å, I = 97
- 31.76 deg, d = 2.818 Å, I = 42
- 35.90 deg, d = 2.501 Å, I = 60
- 48.68 deg, d = 1.871 Å, I = 54
- 51.34 deg, d = 1.780 Å, I = 12
- 55.30 deg, d = 1.661 Å, I = 18
- 55.46 deg, d = 1.657 Å, I = 18
- 60.59 deg, d = 1.528 Å, I = 28
- 61.04 deg, d = 1.518 Å, I = 27
- 61.64 deg, d = 1.505 Å, I = 13
- 62.24 deg, d = 1.492 Å, I = 13


No. 3
Theoretical PXRD pattern of NpH8Pd6 for Cu Kα, from a cell relaxed with PBE.
Neutral-atom scattering factors, no anomalous dispersion.

Crystal structure
Cell: 6.1315 6.1315 6.1315 Å, 56.53 56.53 56.53°
Sites, in units of the cell vectors:
Np1 0.0000 0.0000 0.0000
H1 0.1831 0.7243 0.7243
H2 0.2757 0.2757 0.8169
H3 0.2757 0.8169 0.2757
H4 0.3026 0.3026 0.3026
H5 0.6974 0.6974 0.6974
H6 0.7243 0.1831 0.7243
H7 0.7243 0.7243 0.1831
H8 0.8169 0.2757 0.2757
Pd1 0.0793 0.5947 0.5947
Pd2 0.4053 0.4053 0.9207
Pd3 0.4053 0.9207 0.4053
Pd4 0.5947 0.0793 0.5947
Pd5 0.5947 0.5947 0.0793
Pd6 0.9207 0.4053 0.4053

Peak list (12 most intense, 2θ = 5–70°, low angle first)
- 29.21 deg, d = 3.057 Å, I = 43
- 34.13 deg, d = 2.627 Å, I = 34
- 35.52 deg, d = 2.527 Å, I = 23
- 36.19 deg, d = 2.482 Å, I = 100
- 37.63 deg, d = 2.391 Å, I = 37
- 44.97 deg, d = 2.016 Å, I = 12
- 46.63 deg, d = 1.948 Å, I = 11
- 47.26 deg, d = 1.923 Å, I = 30
- 53.78 deg, d = 1.705 Å, I = 11
- 56.92 deg, d = 1.618 Å, I = 18
- 64.14 deg, d = 1.452 Å, I = 24
- 66.63 deg, d = 1.404 Å, I = 11